Entry 1:
For CdSnSO, a cell relaxed with GGA-PBE gives the computed powder X-ray diffraction pattern in this record (Cu Kα (λ = 1.5418 Å)).

Lattice parameters (Å, degrees): 7.260 7.300 12.027 90.00 90.00 90.00
Sites, in units of the cell vectors:
Cd (0.031, 0.241, 0.024)
Cd (0.031, 0.259, 0.524)
Cd (0.469, 0.741, 0.024)
Cd (0.469, 0.759, 0.524)
Cd (0.531, 0.241, 0.476)
Cd (0.531, 0.259, 0.976)
Cd (0.969, 0.741, 0.476)
Cd (0.969, 0.759, 0.976)
Sn (0.148, 0.616, 0.720)
Sn (0.148, 0.884, 0.220)
Sn (0.352, 0.116, 0.720)
Sn (0.352, 0.384, 0.220)
Sn (0.648, 0.616, 0.780)
Sn (0.648, 0.884, 0.280)
Sn (0.852, 0.116, 0.780)
Sn (0.852, 0.384, 0.280)
S (0.232, 0.528, 0.932)
S (0.232, 0.972, 0.432)
S (0.268, 0.028, 0.932)
S (0.268, 0.472, 0.432)
S (0.732, 0.528, 0.568)
S (0.732, 0.972, 0.068)
S (0.768, 0.028, 0.568)
S (0.768, 0.472, 0.068)
O (0.076, 0.219, 0.212)
O (0.076, 0.281, 0.712)
O (0.424, 0.719, 0.212)
O (0.424, 0.781, 0.712)
O (0.576, 0.219, 0.288)
O (0.576, 0.281, 0.788)
O (0.924, 0.719, 0.288)
O (0.924, 0.781, 0.788)

Main lines, in order of rising 2θ (10 to 90 degrees two-theta):
- hkl 0 2 1, 2θ = 25.5°, I = 100
- hkl 2 1 1, 2θ = 28.4°, I = 96
- hkl 0 2 2, 2θ = 28.6°, I = 42
- hkl 2 0 2, 2θ = 28.7°, I = 60
- hkl 0 0 4, 2θ = 29.7°, I = 93
- hkl 2 1 2, 2θ = 31.3°, I = 100
- hkl 1 1 4, 2θ = 34.5°, I = 51
- hkl 2 2 0, 2θ = 34.9°, I = 75
- hkl 2 1 3, 2θ = 35.5°, I = 49
- hkl 2 2 2, 2θ = 38.0°, I = 64
- hkl 1 0 6, 2θ = 47.0°, I = 43
- hkl 0 4 2, 2θ = 52.4°, I = 53

Entry 2:
For CdSnSO, a cell relaxed with GGA-PBE gives the computed powder X-ray diffraction pattern in this record (Cu Kα (λ = 1.5418 Å)).

Lattice parameters (Å, degrees): 3.680 15.480 6.010 90.00 90.00 90.00
Sites, in units of the cell vectors:
Cd (0.000, 0.180, 0.000)
Cd (0.000, 0.820, 0.500)
Cd (0.500, 0.320, 0.500)
Cd (0.500, 0.680, 0.000)
Sn (0.000, 0.430, 0.062)
Sn (0.000, 0.570, 0.562)
Sn (0.500, 0.070, 0.562)
Sn (0.500, 0.930, 0.062)
S (0.000, 0.184, 0.431)
S (0.000, 0.816, 0.931)
S (0.500, 0.316, 0.931)
S (0.500, 0.684, 0.431)
O (0.000, 0.386, 0.384)
O (0.000, 0.614, 0.884)
O (0.500, 0.114, 0.884)
O (0.500, 0.886, 0.384)

Main lines, in order of rising 2θ (10 to 90 degrees two-theta):
- hkl 0 4 1, 2θ = 27.4°, I = 91
- hkl 1 1 1, 2θ = 29.0°, I = 59
- hkl 0 0 2, 2θ = 29.8°, I = 100
- hkl 1 3 1, 2θ = 33.4°, I = 24
- hkl 1 5 0, 2θ = 38.0°, I = 44
- hkl 1 3 2, 2θ = 42.6°, I = 32
- hkl 0 8 0, 2θ = 47.0°, I = 15
- hkl 1 5 2, 2θ = 49.0°, I = 25
- hkl 2 0 0, 2θ = 49.5°, I = 21
- hkl 0 4 3, 2θ = 51.4°, I = 18
- hkl 1 1 3, 2θ = 52.3°, I = 17
- hkl 2 4 1, 2θ = 57.5°, I = 32